Starting from a GGA+U-relaxed structure, the powder diffractogram of Ba3Fe2Br2O5 was computed for CuKα.

Structural model:
a b c (Å): 8.8775 8.8775 8.8775
angles (deg): 109.47 109.47 109.47
Sites, in units of the cell vectors:
Ba  0.0949  0.7500  0.8449
Ba  0.2500  0.6551  0.4051
Ba  0.4051  0.2500  0.6551
Ba  0.6551  0.4051  0.2500
Ba  0.7500  0.8449  0.0949
Ba  0.8449  0.0949  0.7500
Fe  0.0000  0.3081  0.5000
Fe  0.1919  0.1919  0.1919
Fe  0.3081  0.5000  0.0000
Fe  0.5000  0.0000  0.3081
Br  0.0000  0.8817  0.5000
Br  0.5000  0.0000  0.8817
Br  0.6183  0.6183  0.6183
Br  0.8817  0.5000  0.0000
O  0.0000  0.5175  0.5000
O  0.1069  0.3569  0.7500
O  0.1431  0.2500  0.3931
O  0.2500  0.3931  0.1431
O  0.3569  0.7500  0.1069
O  0.3931  0.1431  0.2500
O  0.5000  0.0000  0.5175
O  0.5175  0.5000  0.0000
O  0.7500  0.1069  0.3569
O  0.9825  0.9825  0.9825

Principal peaks in the range 2θ from 10° to 90°, by angle:
- 21.23 deg, d 4.185, I 35
- 27.52 deg, d 3.242, I 100
- 32.69 deg, d 2.740, I 83
- 39.31 deg, d 2.292, I 30
- 45.10 deg, d 2.010, I 24
- 55.24 deg, d 1.663, I 35